[1]
Starting from a cell relaxed with PBE, the powder X-ray diffraction pattern of KBr3 was calculated for a wavelength of 1.5418 Å.

Top 12 peaks for 10° ≤ 2θ ≤ 90°, by angle:
| 2θ (°) | intensity |
| --- | --- |
| 23.1 | 62.8 |
| 32.0 | 19.9 |
| 34.1 | 100.0 |
| 39.8 | 21.4 |
| 47.1 | 8.6 |
| 48.1 | 36.5 |
| 57.1 | 14.3 |
| 62.4 | 22.2 |
| 68.2 | 12.4 |
| 69.6 | 11.7 |
| 77.1 | 11.8 |
| 77.8 | 8.6 |

a b c (Å): 6.4509 6.4509 7.7155
angles (deg): 90.00 90.00 120.00
Space group P6_3/mmc (No. 194)
One atom of each set of equivalent atoms:
1 K 0.3333 0.6667 0.2500 x2
2 Br 0.1674 0.3348 0.7500 x6

=====

[2]
Starting from a cell relaxed with PBE, the powder X-ray diffraction pattern of K2LaTa6Br15O3 was calculated for a wavelength of 1.5418 Å.

Top 12 peaks for 10° ≤ 2θ ≤ 90°, by angle:
| 2θ (°) | intensity |
| --- | --- |
| 10.6 | 100.0 |
| 14.5 | 23.5 |
| 27.1 | 23.2 |
| 28.4 | 23.2 |
| 32.1 | 20.1 |
| 34.8 | 75.5 |
| 40.4 | 14.7 |
| 41.4 | 19.4 |
| 41.5 | 19.6 |
| 42.7 | 24.6 |
| 44.1 | 15.4 |
| 49.7 | 14.1 |

a b c (Å): 9.5961 9.5961 18.0828
angles (deg): 90.00 90.00 120.00
Space group P-31c (No. 163)
One atom of each set of equivalent atoms:
1 K 0.3333 0.6667 0.0470 x4
2 La 0.3333 0.6667 0.7500 x2
3 Ta 0.0166 0.1891 0.8142 x12
4 Br 0.0191 0.2233 0.0854 x12
5 Br 0.0732 0.4704 0.8845 x12
6 Br 0.2140 0.4280 0.2500 x6
7 O 0.1807 0.3615 0.7500 x6